For Ac2MnFeO6, a crystal structure in Alexandria, relaxed with GGA+U gives the calculated powder XRD pattern in this record (a wavelength of 1.5418 Å).
Kinematic intensities with the Lorentz-polarization factor, no thermal factor.

Structure:
```
Ac2MnFeO6
1.0
5.6736 0.0000 0.0000
0.0000 5.6736 0.0000
0.0000 0.0000 4.0159
Ac Mn Fe O
2 1 1 6
direct
0.0000 0.5000 0.0000
0.5000 0.0000 0.0000
0.0000 0.0000 0.5000
0.5000 0.5000 0.5000
0.0000 0.0000 0.0000
0.2525 0.2525 0.5000
0.2525 0.7475 0.5000
0.5000 0.5000 0.0000
0.7475 0.2525 0.5000
0.7475 0.7475 0.5000
```

Peak list (10 most intense, 2θ from 10° to 90°, in order of rising 2θ)
2θ (°), I_rel
22.2, 35.1
31.5, 100.0
38.9, 25.1
45.2, 28.7
50.9, 18.1
56.1, 40.3
65.8, 17.8
70.4, 9.4
74.8, 17.5
79.2, 9.2